# ZnBi2O5
Simulated X-ray powder pattern, Cu Kα X-rays. Input: a DFT-relaxed cell (GGA-PBE, the Materials Project).

Structural model:
a = 5.491 Å, b = 11.807 Å, c = 8.919 Å
α = 90.00°, β = 111.82°, γ = 90.00°
Sites, in units of the cell vectors:
Zn (0.038, 0.089, 0.149)
Zn (0.038, 0.411, 0.649)
Zn (0.962, 0.589, 0.351)
Zn (0.962, 0.911, 0.851)
Bi (0.348, 0.615, 0.055)
Bi (0.348, 0.885, 0.555)
Bi (0.437, 0.105, 0.851)
Bi (0.437, 0.395, 0.351)
Bi (0.563, 0.605, 0.649)
Bi (0.563, 0.895, 0.149)
Bi (0.652, 0.115, 0.445)
Bi (0.652, 0.385, 0.945)
O (0.145, 0.538, 0.184)
O (0.145, 0.962, 0.684)
O (0.219, 0.718, 0.480)
O (0.219, 0.782, 0.980)
O (0.248, 0.019, 0.010)
O (0.248, 0.481, 0.510)
O (0.312, 0.193, 0.293)
O (0.312, 0.307, 0.793)
O (0.385, 0.546, 0.846)
O (0.385, 0.954, 0.346)
O (0.615, 0.046, 0.654)
O (0.615, 0.454, 0.154)
O (0.688, 0.693, 0.207)
O (0.688, 0.807, 0.707)
O (0.752, 0.519, 0.490)
O (0.752, 0.981, 0.990)
O (0.781, 0.218, 0.020)
O (0.781, 0.282, 0.520)
O (0.855, 0.038, 0.316)
O (0.855, 0.462, 0.816)

Principal peaks in the range 2θ = 15–90°, sorted by position:
two_theta	I (rel.)
17.39	55
22.76	30
23.33	100
28.13	87
30.28	36
31.78	63
33.35	23
33.59	27
43.63	24
45.00	28

---

# ZnBi2O4
Simulated X-ray powder pattern, Cu Kα X-rays. Input: a DFT-relaxed cell (GGA-PBE, the Materials Project).

Structural model:
a = 3.487 Å, b = 6.697 Å, c = 10.316 Å
α = 101.60°, β = 99.38°, γ = 104.33°
Sites, in units of the cell vectors:
Zn (0.032, 0.217, 0.271)
Zn (0.968, 0.783, 0.729)
Bi (0.199, 0.805, 0.068)
Bi (0.219, 0.345, 0.612)
Bi (0.781, 0.655, 0.388)
Bi (0.801, 0.195, 0.932)
O (0.153, 0.525, 0.255)
O (0.185, 0.099, 0.780)
O (0.354, 0.144, 0.092)
O (0.370, 0.678, 0.595)
O (0.630, 0.322, 0.405)
O (0.646, 0.856, 0.908)
O (0.815, 0.901, 0.220)
O (0.847, 0.475, 0.745)

Principal peaks in the range 2θ = 15–90°, sorted by position:
two_theta	I (rel.)
18.58	100
27.13	32
27.31	95
28.43	39
29.03	88
29.63	50
32.78	49
33.24	42
36.06	40
36.54	41

---

# Zn3Bi2O7
Simulated X-ray powder pattern, Cu Kα X-rays. Input: a DFT-relaxed cell (GGA-PBE, the Materials Project).

Structural model:
a = 10.411 Å, b = 10.411 Å, c = 5.559 Å
α = 90.00°, β = 90.00°, γ = 31.58°
Sites, in units of the cell vectors:
Zn (0.085, 0.495, 0.462)
Zn (0.238, 0.762, 0.500)
Zn (0.495, 0.085, 0.962)
Zn (0.505, 0.915, 0.462)
Zn (0.762, 0.238, 0.000)
Zn (0.915, 0.505, 0.962)
Bi (0.135, 0.655, 0.991)
Bi (0.345, 0.865, 0.991)
Bi (0.655, 0.135, 0.491)
Bi (0.865, 0.345, 0.491)
O (0.048, 0.244, 0.154)
O (0.101, 0.899, 0.841)
O (0.161, 0.423, 0.100)
O (0.244, 0.048, 0.654)
O (0.336, 0.515, 0.335)
O (0.423, 0.161, 0.600)
O (0.485, 0.664, 0.335)
O (0.515, 0.336, 0.835)
O (0.577, 0.839, 0.100)
O (0.664, 0.485, 0.835)
O (0.756, 0.952, 0.154)
O (0.839, 0.577, 0.600)
O (0.899, 0.101, 0.341)
O (0.952, 0.756, 0.654)

Principal peaks in the range 2θ = 15–90°, sorted by position:
two_theta	I (rel.)
17.71	14
22.85	31
31.58	25
31.74	100
32.21	26
45.73	20
56.34	21
56.63	10
57.13	22
66.30	11

---

# ZnBi4O8
Simulated X-ray powder pattern, Cu Kα X-rays. Input: a DFT-relaxed cell (GGA-PBE, the Materials Project).

Structural model:
a = 6.342 Å, b = 6.342 Å, c = 6.342 Å
α = 68.73°, β = 68.73°, γ = 68.73°
Sites, in units of the cell vectors:
Zn (0.000, 0.000, 0.000)
Bi (0.000, 0.000, 0.500)
Bi (0.000, 0.500, 0.000)
Bi (0.500, 0.000, 0.000)
Bi (0.500, 0.500, 0.500)
O (0.224, 0.761, 0.761)
O (0.238, 0.238, 0.238)
O (0.239, 0.239, 0.776)
O (0.239, 0.776, 0.239)
O (0.761, 0.224, 0.761)
O (0.761, 0.761, 0.224)
O (0.762, 0.762, 0.762)
O (0.776, 0.239, 0.239)

Principal peaks in the range 2θ = 15–90°, sorted by position:
two_theta	I (rel.)
18.45	100
29.47	95
31.41	83
38.28	89
42.81	34
51.02	38
53.37	20
54.72	37
59.27	24
64.94	24